1.
Pa4Mo6O19: calculated powder X-ray diffraction pattern (Cu Kα X-rays), based on a PBE+U-relaxed structure.
Neutral-atom scattering factors, no anomalous dispersion.

Top 6 peaks for 15 to 90 degrees two-theta, by angle:
| d (Å) | I/Imax |
| --- | --- |
| 3.716 | 100 |
| 2.878 | 72 |
| 2.627 | 27 |
| 2.145 | 28 |
| 1.785 | 44 |
| 1.662 | 37 |

```
Pa4Mo6O19
1.0
-4.5509 4.5509 4.5509
4.5509 -4.5509 4.5509
4.5509 4.5509 -4.5509
Pa Mo O
4 6 19
direct
0.0000 0.0000 0.3017
0.0000 0.3017 0.0000
0.3017 0.0000 0.0000
0.6983 0.6983 0.6983
0.1351 0.5000 0.6351
0.3649 0.8649 0.5000
0.5000 0.3649 0.8649
0.5000 0.6351 0.1351
0.6351 0.1351 0.5000
0.8649 0.5000 0.3649
0.0000 0.0000 0.0000
0.0000 0.3003 0.3003
0.0000 0.6997 0.6997
0.0447 0.7798 0.3865
0.2202 0.2649 0.6067
0.2649 0.6067 0.2202
0.3003 0.0000 0.3003
0.3003 0.3003 0.0000
0.3418 0.7351 0.9553
0.3865 0.0447 0.7798
0.3933 0.6582 0.6135
0.6067 0.2202 0.2649
0.6135 0.3933 0.6582
0.6582 0.6135 0.3933
0.6997 0.0000 0.6997
0.6997 0.6997 0.0000
0.7351 0.9553 0.3418
0.7798 0.3865 0.0447
0.9553 0.3418 0.7351
```

=====

2.
Li4Cr3FeO8: calculated powder X-ray diffraction pattern (Cu Kα X-rays), based on a PBE+U-relaxed structure.
Neutral-atom scattering factors, no anomalous dispersion.

Top 6 peaks for 15 to 90 degrees two-theta, by angle:
| d (Å) | I/Imax |
| --- | --- |
| 4.833 | 100 |
| 2.515 | 27 |
| 2.088 | 79 |
| 1.478 | 21 |
| 1.474 | 22 |
| 1.410 | 14 |

```
Li4Cr3FeO8
1.0
5.1062 0.0000 0.0000
0.0000 5.8982 0.0000
-1.7008 0.0000 4.8334
Li Cr Fe O
4 3 1 8
direct
0.0000 0.0000 0.0000
0.0000 0.5000 0.0000
0.5000 0.2474 0.0000
0.5000 0.7526 0.0000
0.0000 0.2482 0.5000
0.0000 0.7518 0.5000
0.5000 0.5000 0.5000
0.5000 0.0000 0.5000
0.2412 0.5000 0.7264
0.2461 0.0000 0.7237
0.2607 0.2465 0.2760
0.2607 0.7535 0.2760
0.7393 0.2465 0.7240
0.7393 0.7535 0.7240
0.7539 0.0000 0.2763
0.7588 0.5000 0.2736
```